Mn4CoO8: computed X-ray diffraction stick pattern (λ = 1.5418 Å (Cu Kα)), based on a structure optimized by DFT (GGA+U).

Largest 12 diffraction maxima, by angle, 10 to 80 degrees two-theta:
| 2theta | intensity |
| --- | --- |
| 17.5 | 100 |
| 18.4 | 19 |
| 35.3 | 8 |
| 35.4 | 11 |
| 36.1 | 17 |
| 37.2 | 15 |
| 41.7 | 33 |
| 43.3 | 61 |
| 56.3 | 10 |
| 60.2 | 17 |
| 63.1 | 17 |
| 64.0 | 8 |

Cell and atoms:
a = 5.8998 Å, b = 5.8998 Å, c = 6.0095 Å
α = 117.75°, β = 117.75°, γ = 59.11°
Element x y z (fractional)
Mn (0.0000, 0.0000, 0.0000)
Mn (0.0000, 0.5000, 0.0000)
Mn (0.5000, 0.0000, 0.0000)
Mn (0.5000, 0.5000, 0.5000)
Co (0.5000, 0.5000, 0.0000)
O (0.2357, 0.7142, 0.2000)
O (0.2511, 0.2511, 0.2139)
O (0.2736, 0.2736, 0.8082)
O (0.2858, 0.7643, 0.8000)
O (0.7142, 0.2357, 0.2000)
O (0.7264, 0.7264, 0.1918)
O (0.7489, 0.7489, 0.7861)
O (0.7643, 0.2858, 0.8000)